Ac3P2Pt9: theoretical powder XRD pattern (Cu Ka), based on a cell relaxed with PBE.
Neutral-atom scattering factors, no anomalous dispersion.

Structure:
Cell: 6.2944 6.2944 16.4980 Å, 90.00 90.00 120.00°
Fractional positions:
1 Ac 0.0000 0.0000 0.2500
2 Ac 0.0000 0.0000 0.7500
3 Ac 0.3333 0.6667 0.0800
4 Ac 0.3333 0.6667 0.4200
5 Ac 0.6667 0.3333 0.5800
6 Ac 0.6667 0.3333 0.9200
7 P 0.3333 0.6667 0.6436
8 P 0.3333 0.6667 0.8564
9 P 0.6667 0.3333 0.1436
10 P 0.6667 0.3333 0.3564
11 Pt 0.0121 0.5061 0.2500
12 Pt 0.1491 0.2982 0.5735
13 Pt 0.1491 0.2982 0.9265
14 Pt 0.1491 0.8509 0.5735
15 Pt 0.1491 0.8509 0.9265
16 Pt 0.2982 0.1491 0.0735
17 Pt 0.2982 0.1491 0.4265
18 Pt 0.4939 0.5061 0.2500
19 Pt 0.4939 0.9879 0.2500
20 Pt 0.5061 0.0121 0.7500
21 Pt 0.5061 0.4939 0.7500
22 Pt 0.7018 0.8509 0.5735
23 Pt 0.7018 0.8509 0.9265
24 Pt 0.8509 0.1491 0.0735
25 Pt 0.8509 0.1491 0.4265
26 Pt 0.8509 0.7018 0.0735
27 Pt 0.8509 0.7018 0.4265
28 Pt 0.9879 0.4939 0.7500

Most intense lines, 15° ≤ 2θ ≤ 90°, by intensity:
hkl, d [Å], I/Imax
2 0 2, 2.588, 100
2 0 3, 2.442, 94
0 0 6, 2.750, 66
2 0 4, 2.274, 52
2 2 6, 1.366, 41
2 2 0, 1.574, 38
2 0 5, 2.101, 35
2 0 8, 1.645, 33
2 0 1, 2.689, 23
2 0 9, 1.521, 20